Structure and calculated X-ray diffraction stick pattern of Ba3Nd (a cell relaxed with GGA-PBE; Cu Kα X-rays).
Lines closer than 0.1° are merged.

Structural model:
Lattice parameters (Å, degrees): 5.9225 5.9225 12.0598 90.00 90.00 90.00
Space group I4/mmm (No. 139)
Asymmetric unit:
Ba 0.0000 0.0000 0.0000 x2
Ba 0.0000 0.5000 0.2500 x4
Nd 0.0000 0.0000 0.5000 x2

Largest 12 diffraction maxima, sorted by position, 10° ≤ 2θ ≤ 90°:
25.90°, intensity 100
29.63°, intensity 18
30.18°, intensity 34
42.80°, intensity 26
43.21°, intensity 13
50.36°, intensity 16
51.07°, intensity 31
53.26°, intensity 14
68.48°, intensity 13
69.06°, intensity 6
78.96°, intensity 9
85.05°, intensity 7